# 1
Starting from a crystal structure in Alexandria, relaxed with GGA-PBE, the powder XRD pattern of K9AuO3 was simulated for Cu Ka.

The 6 most intense peaks (2θ = 10–90°), sorted by position:
2θ (°)  Rel. int.
19.40  52
20.48  46
24.27  42
26.39  100
27.20  49
35.87  38

Crystal structure
abc: 10.015 10.015 5.384
angles: 90.00 90.00 120.00
Sites, in units of the cell vectors:
1 K 0.000 0.500 0.000
2 K 0.201 0.402 0.500
3 K 0.201 0.799 0.500
4 K 0.402 0.201 0.500
5 K 0.500 0.000 0.000
6 K 0.500 0.500 0.000
7 K 0.598 0.799 0.500
8 K 0.799 0.201 0.500
9 K 0.799 0.598 0.500
10 Au 0.000 0.000 0.000
11 O 0.000 0.500 0.500
12 O 0.500 0.000 0.500
13 O 0.500 0.500 0.500



# 2
Starting from a crystal structure in Alexandria, relaxed with GGA-PBE, the powder XRD pattern of K12Au3O4 was simulated for Cu Ka.

The 6 most intense peaks (2θ = 10–90°), sorted by position:
2θ (°)  Rel. int.
11.73  47
23.58  58
28.98  100
33.59  65
48.24  44
57.26  41

Crystal structure
abc: 9.242 9.242 9.242
angles: 109.47 109.47 109.47
Sites, in units of the cell vectors:
1 K 0.006 0.750 0.257
2 K 0.250 0.257 0.507
3 K 0.250 0.743 0.994
4 K 0.257 0.006 0.750
5 K 0.257 0.507 0.250
6 K 0.493 0.750 0.743
7 K 0.507 0.250 0.257
8 K 0.743 0.493 0.750
9 K 0.743 0.994 0.250
10 K 0.750 0.257 0.006
11 K 0.750 0.743 0.493
12 K 0.994 0.250 0.743
13 Au 0.000 0.500 0.500
14 Au 0.500 0.000 0.500
15 Au 0.500 0.500 0.000
16 O 0.000 0.000 0.500
17 O 0.000 0.500 0.000
18 O 0.500 0.000 0.000
19 O 0.500 0.500 0.500



# 3
Starting from a crystal structure in Alexandria, relaxed with GGA-PBE, the powder XRD pattern of KPaAuO4 was simulated for Cu Ka.

The 6 most intense peaks (2θ = 10–90°), sorted by position:
2θ (°)  Rel. int.
15.05  55
15.29  100
30.01  46
30.37  94
30.85  45
49.89  43

Crystal structure
abc: 7.380 7.380 7.380
angles: 125.18 123.90 82.30
Sites, in units of the cell vectors:
1 K 0.413 0.163 0.250
2 K 0.587 0.837 0.750
3 Pa 0.000 0.500 0.500
4 Pa 0.500 0.500 0.000
5 Au 0.000 0.000 0.500
6 Au 0.000 0.500 0.000
7 O 0.137 0.699 0.438
8 O 0.238 0.301 0.938
9 O 0.276 0.336 0.560
10 O 0.276 0.717 0.940
11 O 0.724 0.283 0.060
12 O 0.724 0.664 0.440
13 O 0.762 0.699 0.062
14 O 0.863 0.301 0.562